(1)
# Fe7P4O20
Theoretical powder XRD pattern, a wavelength of 1.5418 Å. Input: DFT lattice parameters and positions (GGA+U).

Cell and atoms:
a b c (Å): 7.322 7.396 7.601
angles (deg): 90.03 91.53 117.96
Space group P-1 (No. 2)
Inequivalent atoms, fractional coordinates:
1 Fe 0.000 0.000 0.000 [1 per cell]
2 Fe 0.000 0.500 0.000 [1 per cell]
3 Fe 0.245 0.257 0.755 [2 per cell]
4 Fe 0.275 0.768 0.275 [2 per cell]
5 Fe 0.500 0.500 0.500 [1 per cell]
6 P 0.002 0.748 0.627 [2 per cell]
7 P 0.489 0.753 0.878 [2 per cell]
8 O 0.005 0.743 0.137 [2 per cell]
9 O 0.063 0.435 0.247 [2 per cell]
10 O 0.066 0.943 0.743 [2 per cell]
11 O 0.178 0.778 0.508 [2 per cell]
12 O 0.193 0.295 0.491 [2 per cell]
13 O 0.306 0.694 0.005 [2 per cell]
14 O 0.320 0.221 0.008 [2 per cell]
15 O 0.418 0.573 0.745 [2 per cell]
16 O 0.458 0.051 0.222 [2 per cell]
17 O 0.495 0.708 0.354 [2 per cell]

Most intense lines, 2θ = 10–90°, low angle first:
d_spacing, I/Imax, hkl
4.917, 34.6, 0 1 1
3.325, 100.0, -1 2 1
3.271, 42.5, 0 2 0
3.262, 65.5, 2 -1 1
1.632, 24.7, 0 4 0
1.616, 28.0, 2 -2 4

***

(2)
# FePO4
Theoretical powder XRD pattern, a wavelength of 1.5418 Å. Input: DFT lattice parameters and positions (GGA+U).

Cell and atoms:
a b c (Å): 4.251 4.251 8.697
angles (deg): 90.00 90.00 90.00
Space group I-42m (No. 121)
Inequivalent atoms, fractional coordinates:
1 Fe 0.000 0.000 0.000 [2 per cell]
2 P 0.000 0.000 0.500 [2 per cell]
3 O 0.214 0.214 0.399 [8 per cell]

Most intense lines, 2θ = 10–90°, low angle first:
d_spacing, I/Imax, hkl
4.349, 100.0, 0 0 2
3.006, 52.7, 1 1 0
2.473, 81.1, 1 1 2
1.910, 16.0, 2 0 2
1.762, 19.7, 1 1 4
1.520, 23.1, 2 0 4

***

(3)
# Fe2P4PbO14
Theoretical powder XRD pattern, a wavelength of 1.5418 Å. Input: DFT lattice parameters and positions (GGA+U).

Cell and atoms:
a b c (Å): 4.884 7.181 8.036
angles (deg): 89.39 87.18 73.91
Space group P-1 (No. 2)
Inequivalent atoms, fractional coordinates:
1 Fe 0.000 0.000 0.000 [1 per cell]
2 Fe 0.500 0.500 0.500 [1 per cell]
3 P 0.022 0.385 0.749 [2 per cell]
4 P 0.386 0.227 0.205 [2 per cell]
5 Pb 0.000 0.000 0.500 [1 per cell]
6 O 0.083 0.206 0.856 [2 per cell]
7 O 0.131 0.650 0.409 [2 per cell]
8 O 0.185 0.094 0.207 [2 per cell]
9 O 0.201 0.441 0.150 [2 per cell]
10 O 0.291 0.445 0.703 [2 per cell]
11 O 0.373 0.826 0.926 [2 per cell]
12 O 0.480 0.241 0.385 [2 per cell]

Most intense lines, 2θ = 10–90°, low angle first:
d_spacing, I/Imax, hkl
8.026, 100.0, 0 0 1
4.687, 60.5, 1 0 0
3.853, 85.3, 1 1 -1
3.471, 75.3, 0 1 -2
3.455, 90.9, 1 -1 0
3.063, 95.6, 1 1 2

***

(4)
# Fe3P3PbO13
Theoretical powder XRD pattern, a wavelength of 1.5418 Å. Input: DFT lattice parameters and positions (GGA+U).

Cell and atoms:
a b c (Å): 7.645 6.415 10.567
angles (deg): 90.00 100.73 90.00
Space group P2_1/m (No. 11)
Inequivalent atoms, fractional coordinates:
1 Fe 0.000 0.000 0.000 [2 per cell]
2 Fe 0.215 0.250 0.557 [2 per cell]
3 Fe 0.354 0.750 0.198 [2 per cell]
4 P 0.218 0.750 0.479 [2 per cell]
5 P 0.251 0.250 0.236 [2 per cell]
6 P 0.314 0.250 0.886 [2 per cell]
7 Pb 0.336 0.750 0.799 [2 per cell]
8 O 0.021 0.750 0.408 [2 per cell]
9 O 0.075 0.250 0.130 [2 per cell]
10 O 0.127 0.750 0.093 [2 per cell]
11 O 0.201 0.250 0.369 [2 per cell]
12 O 0.206 0.054 0.909 [4 per cell]
13 O 0.252 0.557 0.571 [4 per cell]
14 O 0.346 0.750 0.385 [2 per cell]
15 O 0.354 0.250 0.745 [2 per cell]
16 O 0.367 0.061 0.210 [4 per cell]
17 O 0.495 0.750 0.035 [2 per cell]

Most intense lines, 2θ = 10–90°, low angle first:
d_spacing, I/Imax, hkl
3.941, 82.9, 1 0 2
3.759, 100.0, 2 0 0
3.242, 74.8, 2 1 0
3.208, 96.9, 0 2 0
3.046, 59.6, 0 1 3
2.440, 64.0, 2 2 0

***

(5)
# PrFe2PO8
Theoretical powder XRD pattern, a wavelength of 1.5418 Å. Input: DFT lattice parameters and positions (GGA+U).

Cell and atoms:
a b c (Å): 5.2251 5.2251 6.0765
angles (deg): 90.00 90.00 120.00
Space group P-3m1 (No. 164)
Inequivalent atoms, fractional coordinates:
1 Pr 0.0000 0.0000 0.0000 [1 per cell]
2 Fe 0.3333 0.6667 0.4586 [2 per cell]
3 P 0.0000 0.0000 0.5000 [1 per cell]
4 O 0.1548 0.3096 0.6598 [6 per cell]
5 O 0.3333 0.6667 0.1511 [2 per cell]

Most intense lines, 2θ = 10–90°, low angle first:
d_spacing, I/Imax, hkl
4.525, 62.3, 1 0 0
3.629, 100.0, 0 1 1
2.613, 85.0, 1 1 0
2.120, 51.0, 2 0 1
1.981, 66.3, 1 1 2
1.849, 29.5, 0 1 3

***

(6)
# RbFePO4
Theoretical powder XRD pattern, a wavelength of 1.5418 Å. Input: DFT lattice parameters and positions (GGA+U).

Cell and atoms:
a b c (Å): 5.329 5.751 7.335
angles (deg): 90.00 107.16 90.00
Space group P2_1/m (No. 11)
Inequivalent atoms, fractional coordinates:
1 Rb 0.209 0.250 0.441 [2 per cell]
2 Fe 0.300 0.250 0.977 [2 per cell]
3 P 0.247 0.750 0.143 [2 per cell]
4 O 0.052 0.750 0.940 [2 per cell]
5 O 0.087 0.750 0.288 [2 per cell]
6 O 0.440 0.536 0.169 [4 per cell]

Most intense lines, 2θ = 10–90°, low angle first:
d_spacing, I/Imax, hkl
3.812, 100.0, 1 1 0
3.640, 64.2, 1 0 1
2.992, 55.7, 0 1 2
2.921, 81.2, 1 1 -2
2.876, 96.0, 0 2 0
2.336, 64.9, 1 1 2

***

(7)
# Rb7SmFe6P8O34
Theoretical powder XRD pattern, a wavelength of 1.5418 Å. Input: DFT lattice parameters and positions (GGA+U).

Cell and atoms:
a b c (Å): 9.432 10.119 10.137
angles (deg): 91.45 94.78 116.55
Space group P-1 (No. 2)
Inequivalent atoms, fractional coordinates:
1 Rb 0.000 0.000 0.000 [1 per cell]
2 Rb 0.128 0.972 0.375 [2 per cell]
3 Rb 0.184 0.441 0.910 [2 per cell]
4 Rb 0.428 0.797 0.655 [2 per cell]
5 Sm 0.000 0.500 0.500 [1 per cell]
6 Fe 0.337 0.099 0.758 [2 per cell]
7 Fe 0.339 0.420 0.278 [2 per cell]
8 Fe 0.344 0.891 0.029 [2 per cell]
9 P 0.066 0.760 0.778 [2 per cell]
10 P 0.290 0.334 0.574 [2 per cell]
11 P 0.302 0.729 0.298 [2 per cell]
12 P 0.405 0.230 0.045 [2 per cell]
13 O 0.086 0.633 0.709 [2 per cell]
14 O 0.109 0.266 0.229 [2 per cell]
15 O 0.129 0.785 0.928 [2 per cell]
16 O 0.160 0.905 0.705 [2 per cell]
17 O 0.163 0.391 0.556 [2 per cell]
18 O 0.205 0.709 0.418 [2 per cell]
19 O 0.217 0.177 0.630 [2 per cell]
20 O 0.238 0.797 0.188 [2 per cell]
21 O 0.283 0.577 0.244 [2 per cell]
22 O 0.313 0.213 0.903 [2 per cell]
23 O 0.316 0.086 0.115 [2 per cell]
24 O 0.341 0.311 0.435 [2 per cell]
25 O 0.396 0.362 0.117 [2 per cell]
26 O 0.417 0.729 0.962 [2 per cell]
27 O 0.432 0.443 0.669 [2 per cell]
28 O 0.438 0.009 0.882 [2 per cell]
29 O 0.481 0.836 0.348 [2 per cell]

Most intense lines, 2θ = 10–90°, low angle first:
d_spacing, I/Imax, hkl
3.389, 55.8, 1 2 0
3.224, 84.3, 2 1 -1
3.156, 64.8, -1 1 3
3.081, 100.0, -2 3 1
3.070, 87.4, 2 -3 1
2.949, 57.4, 1 1 -3

***

(8)
# FeSbP2O8
Theoretical powder XRD pattern, a wavelength of 1.5418 Å. Input: DFT lattice parameters and positions (GGA+U).

Cell and atoms:
a b c (Å): 4.978 6.437 10.119
angles (deg): 90.00 101.11 90.00
Space group P2_1/m (No. 11)
Inequivalent atoms, fractional coordinates:
1 Fe 0.144 0.250 0.211 [2 per cell]
2 Sb 0.275 0.250 0.676 [2 per cell]
3 P 0.135 0.750 0.112 [2 per cell]
4 P 0.241 0.750 0.607 [2 per cell]
5 O 0.101 0.750 0.957 [2 per cell]
6 O 0.121 0.569 0.682 [4 per cell]
7 O 0.134 0.750 0.455 [2 per cell]
8 O 0.161 0.250 0.856 [2 per cell]
9 O 0.293 0.553 0.174 [4 per cell]
10 O 0.446 0.250 0.369 [2 per cell]

Most intense lines, 2θ = 10–90°, low angle first:
d_spacing, I/Imax, hkl
4.965, 68.7, 0 0 2
3.880, 100.0, 1 0 -2
3.319, 57.4, 1 1 -2
3.219, 93.1, 0 2 0
3.188, 48.3, 1 0 2
2.857, 37.7, 1 1 2

***

(9)
# Fe3SbP4O16
Theoretical powder XRD pattern, a wavelength of 1.5418 Å. Input: DFT lattice parameters and positions (GGA+U).

Cell and atoms:
a b c (Å): 4.952 6.056 10.117
angles (deg): 90.00 91.36 90.00
Space group Pm (No. 6)
Inequivalent atoms, fractional coordinates:
1 Fe 0.000 0.000 0.000 [1 per cell]
2 Fe 0.100 0.500 0.448 [1 per cell]
3 Fe 0.506 0.500 0.954 [1 per cell]
4 Sb 0.606 0.000 0.509 [1 per cell]
5 P 0.167 0.000 0.317 [1 per cell]
6 P 0.442 0.000 0.830 [1 per cell]
7 P 0.647 0.500 0.639 [1 per cell]
8 P 0.962 0.500 0.126 [1 per cell]
9 O 0.201 0.000 0.168 [1 per cell]
10 O 0.265 0.500 0.099 [1 per cell]
11 O 0.304 0.200 0.901 [2 per cell]
12 O 0.320 0.198 0.389 [2 per cell]
13 O 0.349 0.500 0.606 [1 per cell]
14 O 0.362 0.000 0.681 [1 per cell]
15 O 0.700 0.500 0.789 [1 per cell]
16 O 0.749 0.000 0.849 [1 per cell]
17 O 0.802 0.302 0.570 [2 per cell]
18 O 0.814 0.300 0.052 [2 per cell]
19 O 0.863 0.000 0.347 [1 per cell]
20 O 0.907 0.500 0.272 [1 per cell]

Most intense lines, 2θ = 10–90°, low angle first:
d_spacing, I/Imax, hkl
5.057, 86.0, 0 0 2
3.606, 60.9, 1 1 -1
3.562, 57.1, 1 1 1
3.028, 100.0, 0 2 0
2.555, 54.4, 1 1 -3
2.509, 58.5, 1 1 3